No. 1
This entry pairs a crystal structure of ScVO3 with its computed X-ray powder pattern. Radiation: a wavelength of 1.5418 Å. Structure: a structure optimized by DFT (GGA+U).
Neutral-atom scattering factors, no anomalous dispersion.

Most intense lines, 2θ = 10–90°, by angle:
2theta	d/Å	I (rel.)
23.50	3.786	11
33.47	2.677	100
48.06	1.893	54
59.83	1.546	34
70.32	1.339	28
80.16	1.197	14

Cell lengths 3.786, 3.786, 3.786 Å; angles 90.00, 90.00, 90.00 degrees
Sites, in units of the cell vectors:
Sc  0.000  0.000  0.000
V  0.500  0.500  0.500
O  0.000  0.500  0.500
O  0.500  0.000  0.500
O  0.500  0.500  0.000


No. 2
This entry pairs a crystal structure of Sc10V10O37 with its computed X-ray powder pattern. Radiation: a wavelength of 1.5418 Å. Structure: a structure optimized by DFT (GGA+U).
Neutral-atom scattering factors, no anomalous dispersion.

Most intense lines, 2θ = 10–90°, by angle:
2theta	d/Å	I (rel.)
30.42	2.938	30
31.30	2.858	100
51.32	1.780	36
52.46	1.744	52
61.86	1.500	20
62.37	1.489	13

Cell lengths 58.794, 58.794, 58.794 Å; angles 3.40, 3.40, 3.40 degrees
Sites, in units of the cell vectors:
Sc  0.000  0.000  0.000
Sc  0.050  0.050  0.050
Sc  0.100  0.100  0.100
Sc  0.153  0.153  0.153
Sc  0.349  0.349  0.349
Sc  0.401  0.401  0.401
Sc  0.453  0.453  0.453
Sc  0.700  0.700  0.700
Sc  0.751  0.751  0.751
Sc  0.801  0.801  0.801
V  0.201  0.201  0.201
V  0.251  0.251  0.251
V  0.300  0.300  0.300
V  0.503  0.503  0.503
V  0.552  0.552  0.552
V  0.602  0.602  0.602
V  0.649  0.649  0.649
V  0.852  0.852  0.852
V  0.900  0.900  0.900
V  0.951  0.951  0.951
O  0.012  0.012  0.012
O  0.038  0.038  0.038
O  0.063  0.063  0.063
O  0.088  0.088  0.088
O  0.112  0.112  0.112
O  0.142  0.142  0.142
O  0.166  0.166  0.166
O  0.189  0.189  0.189
O  0.241  0.241  0.241
O  0.262  0.262  0.262
O  0.287  0.287  0.287
O  0.312  0.312  0.312
O  0.336  0.336  0.336
O  0.363  0.363  0.363
O  0.388  0.388  0.388
O  0.413  0.413  0.413
O  0.440  0.440  0.440
O  0.465  0.465  0.465
O  0.488  0.488  0.488
O  0.513  0.513  0.513
O  0.541  0.541  0.541
O  0.564  0.564  0.564
O  0.585  0.585  0.585
O  0.614  0.614  0.614
O  0.637  0.637  0.637
O  0.659  0.659  0.659
O  0.688  0.688  0.688
O  0.713  0.713  0.713
O  0.738  0.738  0.738
O  0.764  0.764  0.764
O  0.789  0.789  0.789
O  0.838  0.838  0.838
O  0.864  0.864  0.864
O  0.888  0.888  0.888
O  0.939  0.939  0.939
O  0.961  0.961  0.961
O  0.984  0.984  0.984


No. 3
This entry pairs a crystal structure of ScV2O2 with its computed X-ray powder pattern. Radiation: a wavelength of 1.5418 Å. Structure: a structure optimized by DFT (GGA+U).
Neutral-atom scattering factors, no anomalous dispersion.

Most intense lines, 2θ = 10–90°, by angle:
2theta	d/Å	I (rel.)
20.00	4.439	20
24.97	3.566	65
28.43	3.139	100
38.54	2.336	50
43.79	2.067	33
48.30	1.884	39

Cell lengths 7.628, 7.628, 7.628 Å; angles 108.82, 108.82, 110.78 degrees
Sites, in units of the cell vectors:
Sc  0.000  0.000  0.000
Sc  0.000  0.000  0.500
Sc  0.000  0.500  0.000
Sc  0.500  0.000  0.500
V  0.068  0.642  0.426
V  0.284  0.358  0.926
V  0.358  0.284  0.426
V  0.358  0.932  0.074
V  0.642  0.068  0.926
V  0.642  0.716  0.574
V  0.716  0.642  0.074
V  0.932  0.358  0.574
O  0.205  0.308  0.602
O  0.205  0.603  0.898
O  0.308  0.205  0.102
O  0.397  0.795  0.602
O  0.603  0.205  0.398
O  0.692  0.795  0.898
O  0.795  0.397  0.102
O  0.795  0.692  0.398